Record 1
Diffraction record for SrLaRuN2. The powder diffraction line list is simulated, not measured: it uses DFT lattice parameters and positions (PBE) and CuKα.

Structural model:
```
data_SrLaRuN2
_chemical_formula_sum 'Sr2 La2 Ru2 N4'
_symmetry_space_group_name_H-M 'P 1 2/c 1'
_symmetry_Int_Tables_number 13
_cell_length_a 5.452
_cell_length_b 5.554
_cell_length_c 7.073
_cell_angle_alpha 90.00
_cell_angle_beta 90.03
_cell_angle_gamma 90.00
loop_
_symmetry_equiv_pos_as_xyz
'x,y,z'
'-x,-y,-z'
'-x,y,-z+1/2'
'x,-y,z+1/2'
loop_
_atom_site_label
_atom_site_fract_x
_atom_site_fract_y
_atom_site_fract_z
Sr1 0.000 0.000 0.250
La1 0.500 0.500 0.250
Ru1 0.500 0.000 0.000
N1 0.279 0.265 0.000
```

Most intense lines, 2θ from 10° to 90°, low angle first:
two_theta, Rel. int., hkl
16.26, 37, 1 0 0
32.24, 25, 0 2 0
32.86, 24, 2 0 0
34.27, 100, 1 1 2
46.70, 24, 2 2 0
58.79, 21, 1 3 2

---

Record 2
Diffraction record for CuO5. The powder diffraction line list is simulated, not measured: it uses DFT lattice parameters and positions (PBE) and CuKα.

Structural model:
```
data_CuO5
_chemical_formula_sum 'Cu1 O5'
_symmetry_space_group_name_H-M 'P 1'
_symmetry_Int_Tables_number 1
_cell_length_a 3.195
_cell_length_b 3.195
_cell_length_c 10.980
_cell_angle_alpha 93.90
_cell_angle_beta 94.17
_cell_angle_gamma 119.03
loop_
_symmetry_equiv_pos_as_xyz
'x,y,z'
loop_
_atom_site_label
_atom_site_fract_x
_atom_site_fract_y
_atom_site_fract_z
Cu1 0.000 0.000 0.000
O1 0.017 0.644 0.375
O2 0.338 0.663 0.000
O3 0.635 0.154 0.733
O4 0.686 0.067 0.626
O5 0.837 0.509 0.267
```

Most intense lines, 2θ from 10° to 90°, low angle first:
two_theta, Rel. int., hkl
16.30, 45, 0 0 2
24.56, 100, 0 0 3
32.30, 48, 1 0 0
33.56, 46, -1 1 1
34.31, 45, 0 1 1
34.50, 49, 0 1 -2

---

Record 3
Diffraction record for La8SiRu3I4. The powder diffraction line list is simulated, not measured: it uses DFT lattice parameters and positions (PBE) and CuKα.

Structural model:
```
data_La8SiRu3I4
_chemical_formula_sum 'La24 Si3 Ru9 I12'
_symmetry_space_group_name_H-M 'R -3 m'
_symmetry_Int_Tables_number 166
_symmetry_space_group_name_Hall '-R 3 2"'
_cell_length_a 8.5850
_cell_length_b 8.5850
_cell_length_c 24.4682
_cell_angle_alpha 90.00
_cell_angle_beta 90.00
_cell_angle_gamma 120.00
loop_
_atom_site_label
_atom_site_fract_x
_atom_site_fract_y
_atom_site_fract_z
La1 0.0000 0.0000 0.2323
La2 0.0153 0.5076 0.7727
Si1 0.0000 0.0000 0.5000
Ru1 0.0000 0.5000 0.5000
I1 0.0000 0.0000 0.0000
I2 0.0000 0.5000 0.0000
```

Most intense lines, 2θ from 10° to 90°, low angle first:
two_theta, Rel. int., hkl
28.09, 100, 0 2 4
30.19, 19, 2 0 5
38.10, 26, 2 0 8
42.10, 39, 2 2 0
51.38, 18, 4 0 4
68.52, 15, 2 4 4

---

Record 4
Diffraction record for Th4InPb. The powder diffraction line list is simulated, not measured: it uses DFT lattice parameters and positions (PBE) and CuKα.

Structural model:
```
data_Th4InPb
_chemical_formula_sum 'Th8 In2 Pb2'
_symmetry_space_group_name_H-M 'P 4/m c c'
_symmetry_Int_Tables_number 124
_symmetry_space_group_name_Hall '-P 4 2c'
_cell_length_a 7.755
_cell_length_b 7.755
_cell_length_c 6.284
_cell_angle_alpha 90.00
_cell_angle_beta 90.00
_cell_angle_gamma 90.00
loop_
_atom_site_label
_atom_site_fract_x
_atom_site_fract_y
_atom_site_fract_z
Th1 0.150 0.345 0.000
In1 0.000 0.000 0.250
Pb1 0.500 0.500 0.250
```

Most intense lines, 2θ from 10° to 90°, low angle first:
two_theta, Rel. int., hkl
29.41, 100, 2 1 1
32.85, 30, 1 1 2
36.64, 40, 3 1 0
36.82, 23, 2 0 2
50.93, 23, 2 1 3
58.41, 21, 3 3 2

---

Record 5
Diffraction record for Na8B13C3. The powder diffraction line list is simulated, not measured: it uses DFT lattice parameters and positions (PBE) and CuKα.

Structural model:
```
data_Na8B13C3
_chemical_formula_sum 'Na16 B26 C6'
_symmetry_space_group_name_H-M 'C 1 2 1'
_symmetry_Int_Tables_number 5
_cell_length_a 17.557
_cell_length_b 5.067
_cell_length_c 5.940
_cell_angle_alpha 90.00
_cell_angle_beta 99.76
_cell_angle_gamma 90.00
loop_
_symmetry_equiv_pos_as_xyz
'x,y,z'
'-x,y,-z'
'x+1/2,y+1/2,z'
'-x+1/2,y+1/2,-z'
loop_
_atom_site_label
_atom_site_fract_x
_atom_site_fract_y
_atom_site_fract_z
Na1 0.124 0.000 0.062
Na2 0.125 0.498 0.313
Na3 0.125 0.499 0.813
Na4 0.125 0.997 0.563
B1 0.000 0.182 0.237
B2 0.000 0.318 0.500
B3 0.000 0.648 0.000
B4 0.000 0.670 0.500
B5 0.000 0.831 0.248
B6 0.250 0.181 0.877
B7 0.250 0.303 0.141
B8 0.250 0.334 0.615
C1 0.000 0.328 0.000
C2 0.250 0.175 0.382
```

Most intense lines, 2θ from 10° to 90°, low angle first:
two_theta, Rel. int., hkl
35.02, 22, 1 1 -2
40.94, 100, 3 1 2
41.30, 56, 4 2 0
41.76, 38, 8 0 0
63.34, 18, 1 3 -2
78.78, 17, 7 3 2

---

Record 6
Diffraction record for Sm9InSn2. The powder diffraction line list is simulated, not measured: it uses DFT lattice parameters and positions (PBE) and CuKα.

Structural model:
```
data_Sm9InSn2
_chemical_formula_sum 'Sm9 In1 Sn2'
_symmetry_space_group_name_H-M 'P 4/m m m'
_symmetry_Int_Tables_number 123
_symmetry_space_group_name_Hall '-P 4 2'
_cell_length_a 4.911
_cell_length_b 4.911
_cell_length_c 14.704
_cell_angle_alpha 90.00
_cell_angle_beta 90.00
_cell_angle_gamma 90.00
loop_
_atom_site_label
_atom_site_fract_x
_atom_site_fract_y
_atom_site_fract_z
Sm1 0.000 0.000 0.000
Sm2 0.000 0.000 0.335
Sm3 0.000 0.500 0.169
Sm4 0.000 0.500 0.500
In1 0.500 0.500 0.000
Sn1 0.500 0.500 0.333
```

Most intense lines, 2θ from 10° to 90°, low angle first:
two_theta, Rel. int., hkl
31.57, 100, 1 1 3
36.62, 50, 2 0 0
52.75, 35, 2 2 0
62.76, 28, 3 1 3
62.86, 14, 1 1 9
86.42, 18, 3 3 3

---

Record 7
Diffraction record for Na5CdAu6. The powder diffraction line list is simulated, not measured: it uses DFT lattice parameters and positions (PBE) and CuKα.

Structural model:
```
data_Na5CdAu6
_chemical_formula_sum 'Na10 Cd2 Au12'
_symmetry_space_group_name_H-M 'C 1 2/m 1'
_symmetry_Int_Tables_number 12
_cell_length_a 13.833
_cell_length_b 7.691
_cell_length_c 4.709
_cell_angle_alpha 90.00
_cell_angle_beta 94.98
_cell_angle_gamma 90.00
loop_
_symmetry_equiv_pos_as_xyz
'x,y,z'
'-x,-y,-z'
'-x,y,-z'
'x,-y,z'
'x+1/2,y+1/2,z'
'-x+1/2,-y+1/2,-z'
'-x+1/2,y+1/2,-z'
'x+1/2,-y+1/2,z'
loop_
_atom_site_label
_atom_site_fract_x
_atom_site_fract_y
_atom_site_fract_z
Na1 0.000 0.000 0.000
Na2 0.161 0.000 0.654
Na3 0.173 0.500 0.659
Cd1 0.000 0.500 0.000
Au1 0.000 0.267 0.500
Au2 0.165 0.259 0.152
```

Most intense lines, 2θ from 10° to 90°, low angle first:
two_theta, Rel. int., hkl
23.13, 55, 0 2 0
23.86, 52, 2 0 1
33.47, 100, 2 2 1
38.90, 67, 4 2 -1
39.22, 33, 6 0 0
39.49, 32, 2 0 -2

---

Record 8
Diffraction record for Pr4SmTm. The powder diffraction line list is simulated, not measured: it uses DFT lattice parameters and positions (PBE) and CuKα.

Structural model:
```
data_Pr4SmTm
_chemical_formula_sum 'Pr8 Sm2 Tm2'
_symmetry_space_group_name_H-M 'C m m m'
_symmetry_Int_Tables_number 65
_symmetry_space_group_name_Hall '-C 2 2'
_cell_length_a 5.194
_cell_length_b 15.538
_cell_length_c 5.184
_cell_angle_alpha 90.00
_cell_angle_beta 90.00
_cell_angle_gamma 90.00
loop_
_atom_site_label
_atom_site_fract_x
_atom_site_fract_y
_atom_site_fract_z
Pr1 0.000 0.164 0.000
Pr2 0.000 0.335 0.500
Sm1 0.000 0.500 0.000
Tm1 0.000 0.000 0.500
```

Most intense lines, 2θ from 10° to 90°, low angle first:
two_theta, Rel. int., hkl
29.84, 100, 1 3 1
34.57, 34, 2 0 0
34.64, 17, 0 6 0
49.73, 36, 2 0 2
59.06, 29, 3 3 1
59.14, 14, 1 9 1

---

Record 9
Diffraction record for CaCrAs2Pd5. The powder diffraction line list is simulated, not measured: it uses DFT lattice parameters and positions (PBE) and CuKα.

Structural model:
```
data_CaCrAs2Pd5
_chemical_formula_sum 'Ca1 Cr1 As2 Pd5'
_symmetry_space_group_name_H-M 'P 4/m m m'
_symmetry_Int_Tables_number 123
_symmetry_space_group_name_Hall '-P 4 2'
_cell_length_a 4.078
_cell_length_b 4.078
_cell_length_c 12.015
_cell_angle_alpha 90.00
_cell_angle_beta 90.00
_cell_angle_gamma 90.00
loop_
_atom_site_label
_atom_site_fract_x
_atom_site_fract_y
_atom_site_fract_z
Ca1 0.000 0.000 0.000
Cr1 0.500 0.500 0.500
As1 0.500 0.500 0.293
Pd1 0.000 0.500 0.180
Pd2 0.500 0.500 0.000
```

Most intense lines, 2θ from 10° to 90°, low angle first:
two_theta, Rel. int., hkl
14.75, 27, 0 0 2
21.79, 42, 1 0 0
34.50, 41, 1 1 2
38.47, 100, 1 1 3
44.43, 52, 2 0 0
77.81, 25, 3 1 3

---

Record 10
Diffraction record for Nd5Tl5Ir. The powder diffraction line list is simulated, not measured: it uses DFT lattice parameters and positions (PBE) and CuKα.

Structural model:
```
data_Nd5Tl5Ir
_chemical_formula_sum 'Nd10 Tl10 Ir2'
_symmetry_space_group_name_H-M 'I m m m'
_symmetry_Int_Tables_number 71
_symmetry_space_group_name_Hall '-I 2 2'
_cell_length_a 5.433
_cell_length_b 7.791
_cell_length_c 16.338
_cell_angle_alpha 90.00
_cell_angle_beta 90.00
_cell_angle_gamma 90.00
loop_
_atom_site_label
_atom_site_fract_x
_atom_site_fract_y
_atom_site_fract_z
Nd1 0.000 0.000 0.000
Nd2 0.000 0.273 0.355
Tl1 0.000 0.000 0.200
Tl2 0.000 0.000 0.500
Tl3 0.000 0.500 0.154
Ir1 0.000 0.500 0.500
```

Most intense lines, 2θ from 10° to 90°, low angle first:
two_theta, Rel. int., hkl
29.66, 31, 1 1 4
31.74, 18, 0 2 4
32.72, 100, 1 2 3
32.94, 65, 2 0 0
58.27, 24, 2 4 0
58.72, 19, 3 2 3

---

Record 11
Diffraction record for Tb2Nd3Dy7. The powder diffraction line list is simulated, not measured: it uses DFT lattice parameters and positions (PBE) and CuKα.

Structural model:
```
data_Tb2Nd3Dy7
_chemical_formula_sum 'Tb2 Nd3 Dy7'
_symmetry_space_group_name_H-M 'P 1 2/m 1'
_symmetry_Int_Tables_number 10
_cell_length_a 5.848
_cell_length_b 3.578
_cell_length_c 18.839
_cell_angle_alpha 90.00
_cell_angle_beta 93.08
_cell_angle_gamma 90.00
loop_
_symmetry_equiv_pos_as_xyz
'x,y,z'
'-x,-y,-z'
'-x,y,-z'
'x,-y,z'
loop_
_atom_site_label
_atom_site_fract_x
_atom_site_fract_y
_atom_site_fract_z
Tb1 0.210 0.000 0.293
Nd1 0.000 0.000 0.000
Nd2 0.278 0.500 0.633
Dy1 0.190 0.500 0.144
Dy2 0.243 0.000 0.462
Dy3 0.308 0.000 0.825
Dy4 0.500 0.500 0.000
```

Most intense lines, 2θ from 10° to 90°, low angle first:
two_theta, Rel. int., hkl
30.58, 56, 2 0 0
30.73, 35, 2 0 -1
31.07, 100, 1 1 2
31.64, 47, 1 0 -6
33.15, 34, 1 0 6
34.59, 39, 1 1 -4

---

Record 12
Diffraction record for LiCrPb. The powder diffraction line list is simulated, not measured: it uses DFT lattice parameters and positions (PBE) and CuKα.

Structural model:
```
data_LiCrPb
_chemical_formula_sum 'Li2 Cr2 Pb2'
_symmetry_space_group_name_H-M 'I m m 2'
_symmetry_Int_Tables_number 44
_cell_length_a 3.550
_cell_length_b 3.811
_cell_length_c 8.885
_cell_angle_alpha 90.00
_cell_angle_beta 90.00
_cell_angle_gamma 90.00
loop_
_symmetry_equiv_pos_as_xyz
'x,y,z'
'-x,-y,z'
'-x,y,z'
'x,-y,z'
'x+1/2,y+1/2,z+1/2'
'-x+1/2,-y+1/2,z+1/2'
'-x+1/2,y+1/2,z+1/2'
'x+1/2,-y+1/2,z+1/2'
loop_
_atom_site_label
_atom_site_fract_x
_atom_site_fract_y
_atom_site_fract_z
Li1 0.000 0.000 0.000
Cr1 0.000 0.000 0.335
Pb1 0.000 0.000 0.668
```

Most intense lines, 2θ from 10° to 90°, low angle first:
two_theta, Rel. int., hkl
19.99, 87, 0 0 2
25.43, 100, 0 1 1
27.05, 86, 1 0 1
34.53, 100, 1 1 0
38.50, 74, 0 1 3
39.63, 69, 1 0 3

---

Record 13
Diffraction record for TaNiPtRh. The powder diffraction line list is simulated, not measured: it uses DFT lattice parameters and positions (PBE) and CuKα.

Structural model:
```
data_TaNiPtRh
_chemical_formula_sum 'Ta2 Ni2 Pt2 Rh2'
_symmetry_space_group_name_H-M 'I -4 m 2'
_symmetry_Int_Tables_number 119
_symmetry_space_group_name_Hall 'I -4 -2'
_cell_length_a 3.906
_cell_length_b 3.906
_cell_length_c 7.633
_cell_angle_alpha 90.00
_cell_angle_beta 90.00
_cell_angle_gamma 90.00
loop_
_atom_site_label
_atom_site_fract_x
_atom_site_fract_y
_atom_site_fract_z
Ta1 0.000 0.000 0.000
Ni1 0.000 0.000 0.500
Pt1 0.000 0.500 0.750
Rh1 0.000 0.500 0.250
```

Most intense lines, 2θ from 10° to 90°, low angle first:
two_theta, Rel. int., hkl
25.62, 22, 1 0 1
40.31, 100, 1 1 2
46.49, 33, 2 0 0
47.66, 15, 0 0 4
68.78, 20, 2 0 4
81.98, 25, 3 1 2